The following is a calculated powder XRD pattern of Li2HfO3. It was derived from a cell relaxed with PBE, using CuKα.
Neutral-atom scattering factors, no anomalous dispersion.

Largest 12 diffraction maxima, sorted by position, 2θ from 10° to 90°:
19.68°, rel. 14; 20.26°, rel. 100; 22.00°, rel. 33; 26.64°, rel. 60; 31.40°, rel. 13; 34.84°, rel. 22; 35.86°, rel. 31; 38.90°, rel. 19; 39.92°, rel. 26; 42.55°, rel. 36; 59.63°, rel. 12; 59.87°, rel. 13

a b c (Å): 5.267 5.267 5.411
angles (deg): 101.53 101.53 117.84
Fractional positions:
Li (0.076, 0.924, 0.750)
Li (0.242, 0.758, 0.250)
Li (0.758, 0.242, 0.750)
Li (0.924, 0.076, 0.250)
Hf (0.409, 0.591, 0.750)
Hf (0.591, 0.409, 0.250)
O (0.000, 0.500, 0.500)
O (0.197, 0.348, 0.985)
O (0.348, 0.197, 0.485)
O (0.500, 0.000, 0.000)
O (0.652, 0.803, 0.515)
O (0.803, 0.652, 0.015)

***

The following is a calculated powder XRD pattern of CuC8N2Cl4. It was derived from a cell relaxed with PBE, using CuKα.
Neutral-atom scattering factors, no anomalous dispersion.

Largest 12 diffraction maxima, sorted by position, 2θ from 10° to 90°:
11.68°, rel. 38; 14.83°, rel. 83; 18.26°, rel. 68; 18.52°, rel. 30; 19.64°, rel. 100; 21.57°, rel. 52; 25.23°, rel. 45; 25.67°, rel. 86; 29.98°, rel. 89; 30.46°, rel. 59; 39.88°, rel. 29; 47.94°, rel. 29

a b c (Å): 9.717 9.041 13.883
angles (deg): 90.00 90.00 90.00
Fractional positions:
Cu (0.222, 0.250, 0.089)
Cu (0.278, 0.750, 0.589)
Cu (0.722, 0.250, 0.411)
Cu (0.778, 0.750, 0.911)
C (0.027, 0.250, 0.605)
C (0.082, 0.639, 0.368)
C (0.082, 0.861, 0.368)
C (0.105, 0.250, 0.694)
C (0.142, 0.650, 0.868)
C (0.142, 0.850, 0.868)
C (0.176, 0.750, 0.979)
C (0.239, 0.250, 0.389)
C (0.261, 0.750, 0.889)
C (0.324, 0.250, 0.479)
C (0.358, 0.150, 0.368)
C (0.358, 0.350, 0.368)
C (0.395, 0.750, 0.194)
C (0.418, 0.139, 0.868)
C (0.418, 0.361, 0.868)
C (0.473, 0.750, 0.105)
C (0.527, 0.250, 0.895)
C (0.582, 0.639, 0.132)
C (0.582, 0.861, 0.132)
C (0.605, 0.250, 0.806)
C (0.642, 0.650, 0.632)
C (0.642, 0.850, 0.632)
C (0.676, 0.750, 0.521)
C (0.739, 0.250, 0.111)
C (0.761, 0.750, 0.611)
C (0.824, 0.250, 0.021)
C (0.858, 0.150, 0.132)
C (0.858, 0.350, 0.132)
C (0.895, 0.750, 0.306)
C (0.918, 0.139, 0.632)
C (0.918, 0.361, 0.632)
C (0.973, 0.750, 0.395)
N (0.049, 0.750, 0.921)
N (0.051, 0.750, 0.288)
N (0.449, 0.250, 0.788)
N (0.451, 0.250, 0.421)
N (0.549, 0.750, 0.579)
N (0.551, 0.750, 0.212)
N (0.949, 0.250, 0.712)
N (0.951, 0.250, 0.079)
Cl (0.071, 0.250, 0.363)
Cl (0.232, 0.250, 0.925)
Cl (0.243, 0.026, 0.137)
Cl (0.243, 0.474, 0.137)
Cl (0.257, 0.526, 0.637)
Cl (0.257, 0.974, 0.637)
Cl (0.268, 0.750, 0.425)
Cl (0.429, 0.750, 0.863)
Cl (0.571, 0.250, 0.137)
Cl (0.732, 0.250, 0.575)
Cl (0.743, 0.026, 0.363)
Cl (0.743, 0.474, 0.363)
Cl (0.757, 0.526, 0.863)
Cl (0.757, 0.974, 0.863)
Cl (0.768, 0.750, 0.075)
Cl (0.929, 0.750, 0.637)

***

The following is a calculated powder XRD pattern of LiYAu2. It was derived from a cell relaxed with PBE, using CuKα.
Neutral-atom scattering factors, no anomalous dispersion.

Largest 12 diffraction maxima, sorted by position, 2θ from 10° to 90°:
22.34°, rel. 8; 25.86°, rel. 46; 36.89°, rel. 100; 43.56°, rel. 4; 45.60°, rel. 14; 53.16°, rel. 18; 58.37°, rel. 2; 60.04°, rel. 19; 66.46°, rel. 36; 71.08°, rel. 1; 78.51°, rel. 11; 84.32°, rel. 10

a b c (Å): 6.892 6.892 6.892
angles (deg): 90.00 90.00 90.00
Fractional positions:
Li (0.000, 0.000, 0.000)
Li (0.000, 0.500, 0.500)
Li (0.500, 0.000, 0.500)
Li (0.500, 0.500, 0.000)
Y (0.000, 0.000, 0.500)
Y (0.000, 0.500, 0.000)
Y (0.500, 0.000, 0.000)
Y (0.500, 0.500, 0.500)
Au (0.250, 0.250, 0.250)
Au (0.250, 0.250, 0.750)
Au (0.250, 0.750, 0.250)
Au (0.250, 0.750, 0.750)
Au (0.750, 0.250, 0.250)
Au (0.750, 0.250, 0.750)
Au (0.750, 0.750, 0.250)
Au (0.750, 0.750, 0.750)

***

The following is a calculated powder XRD pattern of Ba3BiSb. It was derived from a cell relaxed with PBE, using CuKα.
Neutral-atom scattering factors, no anomalous dispersion.

Largest 12 diffraction maxima, sorted by position, 2θ from 10° to 90°:
13.44°, rel. 44; 19.06°, rel. 33; 23.39°, rel. 36; 27.08°, rel. 100; 30.35°, rel. 27; 33.32°, rel. 17; 38.67°, rel. 78; 45.69°, rel. 17; 47.84°, rel. 28; 63.13°, rel. 37; 69.98°, rel. 27; 89.22°, rel. 19

a b c (Å): 6.586 6.586 6.586
angles (deg): 90.00 90.00 90.00
Fractional positions:
Ba (0.000, 0.000, 0.500)
Ba (0.000, 0.500, 0.000)
Ba (0.500, 0.000, 0.000)
Bi (0.000, 0.000, 0.000)
Sb (0.500, 0.500, 0.500)

***

The following is a calculated powder XRD pattern of SrMg6B. It was derived from a cell relaxed with PBE, using CuKα.
Neutral-atom scattering factors, no anomalous dispersion.

Largest 12 diffraction maxima, sorted by position, 2θ from 10° to 90°:
11.32°, rel. 17; 15.28°, rel. 31; 22.22°, rel. 21; 25.11°, rel. 33; 27.18°, rel. 48; 30.84°, rel. 69; 31.71°, rel. 39; 32.06°, rel. 100; 38.41°, rel. 58; 39.38°, rel. 18; 45.59°, rel. 22; 56.05°, rel. 24

a b c (Å): 3.980 6.244 15.638
angles (deg): 90.00 90.00 90.00
Fractional positions:
Sr (0.000, 0.000, 0.000)
Sr (0.000, 0.500, 0.500)
Mg (0.000, 0.000, 0.575)
Mg (0.000, 0.225, 0.811)
Mg (0.000, 0.275, 0.311)
Mg (0.000, 0.500, 0.075)
Mg (0.000, 0.725, 0.311)
Mg (0.000, 0.775, 0.811)
Mg (0.500, 0.000, 0.417)
Mg (0.500, 0.247, 0.179)
Mg (0.500, 0.253, 0.679)
Mg (0.500, 0.500, 0.917)
Mg (0.500, 0.747, 0.679)
Mg (0.500, 0.753, 0.179)
B (0.500, 0.000, 0.822)
B (0.500, 0.500, 0.322)